Computed powder diffractogram of CaTm2Pb for Cu Kα (weighted mean of Kα1 and Kα2), from a PBE-relaxed structure.
Intensities are scaled so that the largest is 100.

a b c (Å): 4.892 4.892 4.854
angles (deg): 90.00 90.00 90.00
Space group P4/mmm (No. 123)
Inequivalent atoms, fractional coordinates:
1 Ca 0.000 0.000 0.000
2 Tm 0.000 0.500 0.500
3 Pb 0.500 0.500 0.000

Main lines, by intensity (2θ from 15° to 90°):
31.76 deg, I 100; 36.74 deg, I 34; 63.07 deg, I 28; 53.16 deg, I 24; 37.04 deg, I 17; 18.13 deg, I 14; 63.47 deg, I 14; 25.86 deg, I 13; 66.36 deg, I 12; 87.17 deg, I 12